# 1
# VZn2O4
Theoretical PXRD pattern, CuKα. Input: DFT lattice parameters and positions (GGA+U).
No peak broadening, texture or thermal motion is included.

Structural model:
```
VZn2O4
1.0
6.0454 0.0000 0.0000
0.0000 6.0454 0.0000
0.0000 0.0000 8.4977
V Zn O
4 8 16
direct
0.0000 0.2549 0.0000
0.0000 0.7451 0.5000
0.2549 0.0000 0.7500
0.7451 0.0000 0.2500
0.2480 0.2480 0.3750
0.2480 0.7520 0.1250
0.2546 0.5000 0.7500
0.5000 0.2546 0.0000
0.5000 0.7454 0.5000
0.7454 0.5000 0.2500
0.7520 0.2480 0.6250
0.7520 0.7520 0.8750
0.0141 0.2302 0.7671
0.0141 0.7698 0.7329
0.2302 0.0141 0.9829
0.2302 0.9859 0.5171
0.2309 0.4736 0.9999
0.2309 0.5264 0.5001
0.4736 0.2309 0.7501
0.4736 0.7691 0.7499
0.5264 0.2309 0.2499
0.5264 0.7691 0.2501
0.7691 0.4736 0.0001
0.7691 0.5264 0.4999
0.7698 0.0141 0.0171
0.7698 0.9859 0.4829
0.9859 0.2302 0.2329
0.9859 0.7698 0.2671
```

The 10 most intense peaks (2θ from 10° to 80°), low angle first:
29.61 deg, d 3.017, I = 50
34.82 deg, d 2.576, I = 100
34.98 deg, d 2.565, I = 51
36.48 deg, d 2.463, I = 13
42.28 deg, d 2.137, I = 14
52.49 deg, d 1.743, I = 13
55.89 deg, d 1.645, I = 30
56.22 deg, d 1.636, I = 15
61.34 deg, d 1.511, I = 21
61.55 deg, d 1.507, I = 43

# 2
# VHF
Theoretical PXRD pattern, CuKα. Input: DFT lattice parameters and positions (GGA+U).
No peak broadening, texture or thermal motion is included.

Structural model:
```
VHF
1.0
2.7386 -1.5797 0.0000
2.7386 1.5797 0.0000
-1.7804 0.0000 8.3635
V H F
2 2 2
direct
0.2418 0.2418 0.2272
0.7582 0.7582 0.7728
0.1247 0.1247 0.8748
0.8753 0.8753 0.1252
0.3838 0.3838 0.6462
0.6162 0.6162 0.3538
```

The 10 most intense peaks (2θ from 10° to 80°), low angle first:
21.25 deg, d 4.182, I = 100
33.51 deg, d 2.674, I = 72
35.79 deg, d 2.509, I = 21
37.47 deg, d 2.400, I = 11
43.77 deg, d 2.068, I = 20
43.97 deg, d 2.059, I = 40
49.20 deg, d 1.852, I = 8
58.40 deg, d 1.580, I = 33
62.92 deg, d 1.477, I = 16
68.98 deg, d 1.361, I = 10